[1]
This entry pairs a crystal structure of Sm5Y4Sc with its simulated X-ray powder pattern. Radiation: a wavelength of 1.5418 Å. Structure: a structure optimized by DFT (PBE).
Peak positions follow from Bragg's law for the DFT cell and can differ from measured ones.

Atomic structure:
Unit cell a=10.562 b=10.562 c=5.914 alpha=90.00 beta=90.00 gamma=90.00
Space group I4mm (No. 107)
Symmetry-distinct sites (fractional):
Sm1 0.000 0.000 0.000 x2
Sm2 0.185 0.185 0.289 x8
Y1 0.000 0.322 0.772 x8
Sc1 0.000 0.000 0.537 x2

Largest 8 diffraction maxima, by angle, 10 to 90 degrees two-theta:
two_theta	Rel. int.
29.5	100
30.2	15
34.2	13
34.8	19
36.1	37
47.8	14
53.3	14
60.9	18

[2]
This entry pairs a crystal structure of Pm12SmPd6 with its simulated X-ray powder pattern. Radiation: a wavelength of 1.5418 Å. Structure: a structure optimized by DFT (PBE).
Peak positions follow from Bragg's law for the DFT cell and can differ from measured ones.

Atomic structure:
Unit cell a=14.8891 b=14.8891 c=8.6894 alpha=90.00 beta=90.00 gamma=120.00
Space group R-3m (No. 166, hexagonal axes)
Symmetry-distinct sites (fractional):
Pm1 0.0000 0.2500 0.0000 x18
Pm2 0.0938 0.1875 0.3576 x18
Sm1 0.0000 0.0000 0.0000 x3
Pd1 0.0945 0.5473 0.3905 x18

Largest 8 diffraction maxima, by angle, 10 to 90 degrees two-theta:
two_theta	Rel. int.
27.0	100
29.6	45
30.9	77
32.4	95
36.2	39
36.3	56
36.8	42
59.0	40

What did the second record say?
This entry pairs a crystal structure of Pm12SmPd6 with its simulated X-ray powder pattern. Radiation: a wavelength of 1.5418 Å. Structure: a structure optimized by DFT (PBE).
Peak positions follow from Bragg's law for the DFT cell and can differ from measured ones.

Atomic structure:
Unit cell a=14.8891 b=14.8891 c=8.6894 alpha=90.00 beta=90.00 gamma=120.00
Space group R-3m (No. 166, hexagonal axes)
Symmetry-distinct sites (fractional):
Pm1 0.0000 0.2500 0.0000 x18
Pm2 0.0938 0.1875 0.3576 x18
Sm1 0.0000 0.0000 0.0000 x3
Pd1 0.0945 0.5473 0.3905 x18

Largest 8 diffraction maxima, by angle, 10 to 90 degrees two-theta:
two_theta	Rel. int.
27.0	100
29.6	45
30.9	77
32.4	95
36.2	39
36.3	56
36.8	42
59.0	40